The following is a theoretical powder diffraction line list of Li3Al4Pd2. It was derived from DFT lattice parameters and positions (PBE), using Cu Ka.
Kinematic intensities with the Lorentz-polarization factor, no thermal factor.

Largest 10 diffraction maxima, low angle first, 5 to 70 degrees two-theta:
h k l	two_theta	intensity
0 0 1	11.1	15
0 0 2	22.3	33
1 0 0	23.7	13
0 1 1	26.3	78
1 1 0	41.7	100
1 1 2	47.8	25
2 0 1	50.0	13
1 0 4	51.9	12
2 0 3	60.4	16
1 2 1	67.1	11

Unit cell a=4.3308 b=4.3308 c=7.9821 alpha=90.00 beta=90.00 gamma=120.00
Space group P-3m1 (No. 164)
Symmetry-distinct sites (fractional):
Li 0.0000 0.0000 0.0000 [1 per cell]
Li 0.3333 0.6667 0.4560 [2 per cell]
Al 0.0000 0.0000 0.3241 [2 per cell]
Al 0.3333 0.6667 0.1210 [2 per cell]
Pd 0.3333 0.6667 0.7893 [2 per cell]